1.
For Ba10IBr4N5, the GGA-PBE geometry in the Materials Project gives the calculated XRD peak list in this record (Cu Ka).
Kinematic intensities with the Lorentz-polarization factor, no thermal factor.

Cell and atoms:
abc: 4.2088 4.2088 120.7322
angles: 90.00 90.00 120.00
Space group R-3m (No. 166, hexagonal axes)
Asymmetric unit:
Ba  0.0000  0.0000  0.0472
Ba  0.0000  0.0000  0.1544
Ba  0.0000  0.0000  0.2448
Ba  0.0000  0.0000  0.3560
Ba  0.0000  0.0000  0.4464
I  0.0000  0.0000  0.0000
Br  0.0000  0.0000  0.1996
Br  0.0000  0.0000  0.4012
N  0.0000  0.0000  0.1008
N  0.0000  0.0000  0.2984
N  0.0000  0.0000  0.5000

The 10 most intense peaks (5° ≤ 2θ ≤ 70°), low angle first:
hkl, two_theta, intensity
0 1 5, 24.70, 17.3
1 0 10, 25.53, 26.8
0 1 20, 28.61, 100.0
1 0 25, 30.73, 45.5
0 0 45, 33.40, 20.3
1 0 40, 38.73, 18.9
1 1 0, 42.98, 41.1
2 0 20, 52.45, 17.7
0 2 25, 53.76, 9.4
1 1 45, 55.51, 41.8



2.
For Ba10IBr4N5, the GGA-PBE geometry in the Materials Project gives the calculated XRD peak list in this record (Cu Ka).
Kinematic intensities with the Lorentz-polarization factor, no thermal factor.

Cell and atoms:
abc: 7.2844 8.4399 11.1268
angles: 73.59 70.90 81.74
Space group P-1 (No. 2)
Asymmetric unit:
Ba  0.0462  0.3193  0.1387
Ba  0.1539  0.6856  0.4624
Ba  0.2490  0.3185  0.7335
Ba  0.3592  0.6821  0.0639
Ba  0.4457  0.3139  0.3372
I  0.0000  0.0000  0.0000
Br  0.2002  0.0000  0.5996
Br  0.3999  0.0000  0.2002
N  0.1005  0.4999  0.3008
N  0.3003  0.5006  0.8995
N  0.5000  0.5000  0.5000

The 10 most intense peaks (5° ≤ 2θ ≤ 70°), low angle first:
hkl, two_theta, intensity
2 0 1, 24.72, 17.1
2 1 1, 25.54, 26.5
1 2 3, 28.59, 100.0
2 2 1, 30.70, 46.7
0 3 0, 33.25, 22.2
2 3 1, 38.64, 19.6
3 1 4, 43.01, 40.4
4 2 2, 52.47, 17.6
1 5 3, 55.33, 15.9
3 4 4, 55.43, 30.8



3.
For Ba3LaBr9, the GGA-PBE geometry in the Materials Project gives the calculated XRD peak list in this record (Cu Ka).
Kinematic intensities with the Lorentz-polarization factor, no thermal factor.

Cell and atoms:
abc: 8.1009 7.5390 31.5352
angles: 90.00 92.06 90.00
Space group Pc (No. 7)
Asymmetric unit:
Ba  0.0000  0.0037  0.0000
Ba  0.4718  0.4839  0.2611
Ba  0.5084  0.4751  0.4999
Ba  0.5737  0.0157  0.3835
Ba  0.6060  0.0124  0.6220
Ba  0.9716  0.0282  0.2588
La  0.0872  0.4803  0.3853
La  0.1116  0.4551  0.6250
Br  0.1319  0.4012  0.9836
Br  0.1381  0.3342  0.8003
Br  0.1818  0.2977  0.1978
Br  0.2684  0.2049  0.3237
Br  0.2743  0.1864  0.4391
Br  0.2836  0.1910  0.5647
Br  0.3541  0.2449  0.6814
Br  0.4132  0.3571  0.0935
Br  0.4373  0.3952  0.8943
Br  0.6135  0.1084  0.9933
Br  0.6347  0.1493  0.7911
Br  0.6902  0.2371  0.2018
Br  0.8010  0.3222  0.3254
Br  0.8065  0.3090  0.4396
Br  0.8192  0.3026  0.5643
Br  0.8796  0.2574  0.6803
Br  0.9383  0.1628  0.8960
Br  0.9418  0.2125  0.0926

The 10 most intense peaks (5° ≤ 2θ ≤ 70°), low angle first:
hkl, two_theta, intensity
1 1 -4, 19.41, 66.9
1 1 4, 19.87, 55.3
0 1 9, 28.11, 44.8
0 0 10, 28.34, 45.7
2 1 5, 29.16, 35.2
2 0 8, 32.28, 42.4
2 2 0, 32.47, 62.5
0 2 8, 32.88, 100.0
3 1 0, 35.33, 63.5
1 1 -12, 37.55, 35.8



4.
For BaLa2Br8, the GGA-PBE geometry in the Materials Project gives the calculated XRD peak list in this record (Cu Ka).
Kinematic intensities with the Lorentz-polarization factor, no thermal factor.

Cell and atoms:
abc: 13.9417 13.9417 8.3482
angles: 90.00 90.00 90.00
Space group I-4 (No. 82)
Asymmetric unit:
Ba  0.0000  0.0000  0.0000
Ba  0.0000  0.5000  0.2500
La  0.1364  0.2897  0.6968
Br  0.0269  0.7380  0.9442
Br  0.0469  0.6436  0.5417
Br  0.0882  0.8929  0.3134
Br  0.1711  0.2527  0.3361

The 10 most intense peaks (5° ≤ 2θ ≤ 70°), low angle first:
hkl, two_theta, intensity
1 2 1, 17.76, 75.8
3 0 1, 21.89, 36.7
2 3 1, 25.39, 50.8
1 4 1, 28.48, 56.3
3 1 2, 29.47, 58.3
1 5 0, 32.77, 100.0
3 4 1, 33.89, 43.0
3 3 2, 34.74, 30.4
1 2 3, 35.32, 33.8
2 4 2, 35.96, 36.5



5.
For BaLa2Br8, the GGA-PBE geometry in the Materials Project gives the calculated XRD peak list in this record (Cu Ka).
Kinematic intensities with the Lorentz-polarization factor, no thermal factor.

Cell and atoms:
abc: 7.9588 7.9486 15.9145
angles: 90.00 113.12 90.00
Space group P2/c (No. 13)
Asymmetric unit:
Ba  0.0000  0.1401  0.2500
La  0.3347  0.2484  0.0041
Br  0.0298  0.1584  0.6171
Br  0.2350  0.3364  0.1491
Br  0.2871  0.4156  0.4129
Br  0.4340  0.0299  0.8737

The 10 most intense peaks (5° ≤ 2θ ≤ 70°), low angle first:
hkl, two_theta, intensity
0 1 1, 12.67, 55.5
1 0 -2, 13.33, 86.9
1 1 -1, 15.81, 66.8
1 1 1, 19.14, 67.3
1 1 -3, 20.74, 86.4
2 1 0, 26.82, 100.0
0 2 3, 28.98, 80.4
2 2 -1, 31.97, 64.5
2 1 -5, 32.77, 59.4
2 0 -6, 35.30, 57.0



6.
For Ba3Br2O2, the GGA-PBE geometry in the Materials Project gives the calculated XRD peak list in this record (Cu Ka).
Kinematic intensities with the Lorentz-polarization factor, no thermal factor.

Cell and atoms:
abc: 19.7388 6.3671 7.5846
angles: 90.00 90.00 90.00
Space group Pnma (No. 62)
Asymmetric unit:
Ba  0.0220  0.2500  0.1528
Ba  0.1086  0.2500  0.6941
Ba  0.1586  0.7500  0.0490
Br  0.0593  0.7500  0.4184
Br  0.2270  0.2500  0.2261
O  0.0793  0.0003  0.9198

The 10 most intense peaks (5° ≤ 2θ ≤ 70°), low angle first:
hkl, two_theta, intensity
2 0 0, 8.96, 32.0
4 1 1, 25.68, 100.0
1 1 2, 27.75, 43.7
0 2 0, 28.03, 62.7
2 1 2, 28.86, 57.1
5 1 1, 29.10, 55.5
6 0 1, 29.60, 26.7
3 0 3, 38.17, 24.6
6 2 1, 41.22, 23.9
10 1 0, 48.22, 37.9



7.
For Ba4Br6O, the GGA-PBE geometry in the Materials Project gives the calculated XRD peak list in this record (Cu Ka).
Kinematic intensities with the Lorentz-polarization factor, no thermal factor.

Cell and atoms:
abc: 10.2192 10.2192 7.7242
angles: 90.00 90.00 90.00
Space group P4_2/nmc (No. 137, origin choice 2)
Asymmetric unit:
Ba  0.0179  0.7500  0.0864
Br  0.0447  0.5447  0.7500
Br  0.2500  0.2500  0.1607
O  0.2500  0.7500  0.2500

The 10 most intense peaks (5° ≤ 2θ ≤ 70°), low angle first:
hkl, two_theta, intensity
2 0 1, 20.84, 100.0
3 1 0, 27.60, 18.9
3 0 1, 28.64, 29.1
2 1 2, 30.30, 64.2
3 2 1, 33.68, 40.7
2 2 2, 33.98, 46.5
4 0 0, 35.13, 48.9
4 2 1, 41.20, 30.5
4 4 0, 50.52, 20.1
5 2 2, 53.83, 28.0



8.
For Ba3Br2O2, the GGA-PBE geometry in the Materials Project gives the calculated XRD peak list in this record (Cu Ka).
Kinematic intensities with the Lorentz-polarization factor, no thermal factor.

Cell and atoms:
abc: 12.7737 10.6966 14.4215
angles: 90.00 112.05 90.00
Space group P2_1/c (No. 14)
Asymmetric unit:
Ba  0.0103  0.1810  0.1314
Ba  0.0924  0.5839  0.1235
Ba  0.2084  0.6090  0.8599
Ba  0.3392  0.5252  0.4209
Ba  0.4235  0.0561  0.2241
Ba  0.4353  0.1582  0.5162
Br  0.1514  0.2276  0.3789
Br  0.1524  0.5677  0.6102
Br  0.3205  0.1272  0.7007
Br  0.3824  0.7339  0.0972
O  0.0422  0.6029  0.9288
O  0.1554  0.6614  0.3181
O  0.4024  0.5224  0.8819
O  0.4724  0.1076  0.0721

The 10 most intense peaks (5° ≤ 2θ ≤ 70°), low angle first:
hkl, two_theta, intensity
1 0 -4, 24.84, 48.2
2 2 1, 24.96, 47.4
2 0 -4, 25.25, 25.6
1 3 -1, 26.22, 18.6
2 2 2, 28.93, 36.7
2 3 0, 29.23, 100.0
4 1 -1, 29.56, 22.7
1 0 4, 30.35, 36.3
2 1 3, 30.46, 24.2
1 3 -4, 35.48, 18.8